Entry 1:
Starting from the GGA-PBE geometry in Alexandria, the X-ray powder pattern of Sm2Zn2Si3 was simulated for Cu Kα (weighted mean of Kα1 and Kα2).

Crystal structure
a b c (Å): 4.2016 18.6096 6.8644
angles (deg): 90.00 90.00 90.00
Space group Cmcm (No. 63)
Symmetry-distinct sites (fractional):
Sm 0.0000 0.0491 0.2500 [4 per cell]
Sm 0.0000 0.1577 0.7500 [4 per cell]
Zn 0.0000 0.3220 0.5650 [8 per cell]
Si 0.0000 0.2174 0.2500 [4 per cell]
Si 0.0000 0.4427 0.0780 [8 per cell]

Most intense lines, 10 to 80 degrees two-theta, sorted by position:
2θ/deg	I/Imax	hkl
23.09	22	0 4 1
25.96	15	0 0 2
28.78	24	0 6 0
31.66	23	0 6 1
34.07	70	1 1 2
34.75	100	1 5 1
43.06	28	2 0 0
44.11	32	0 4 3
56.38	24	1 9 2
63.34	21	2 4 3

Entry 2:
Starting from the GGA-PBE geometry in Alexandria, the X-ray powder pattern of Sm3ZnSi3 was simulated for Cu Kα (weighted mean of Kα1 and Kα2).

Crystal structure
a b c (Å): 3.9926 4.3018 18.1452
angles (deg): 90.00 90.00 90.00
Space group Imm2 (No. 44)
Symmetry-distinct sites (fractional):
Sm 0.0000 0.0000 0.0000 [2 per cell]
Sm 0.0000 0.0000 0.3701 [2 per cell]
Sm 0.0000 0.5000 0.6902 [2 per cell]
Zn 0.0000 0.5000 0.1193 [2 per cell]
Si 0.0000 0.0000 0.5437 [2 per cell]
Si 0.0000 0.0000 0.8289 [2 per cell]
Si 0.0000 0.5000 0.2505 [2 per cell]

Most intense lines, 10 to 80 degrees two-theta, sorted by position:
2θ/deg	I/Imax	hkl
26.75	51	1 0 3
29.54	18	0 0 6
32.14	100	1 1 2
32.27	60	0 1 5
36.54	17	1 1 4
41.54	19	1 0 7
42.01	23	0 2 0
45.43	18	2 0 0
50.50	18	1 2 3
56.82	24	2 1 5

Entry 3:
Starting from the GGA-PBE geometry in Alexandria, the X-ray powder pattern of Sm2Zn5Si was simulated for Cu Kα (weighted mean of Kα1 and Kα2).

Crystal structure
a b c (Å): 4.3602 15.9885 8.8032
angles (deg): 90.00 90.00 90.00
Space group Cmcm (No. 63)
Symmetry-distinct sites (fractional):
Sm 0.0000 0.0000 0.0000 [4 per cell]
Sm 0.0000 0.2021 0.2500 [4 per cell]
Zn 0.0000 0.1865 0.6065 [8 per cell]
Zn 0.0000 0.3511 0.5242 [8 per cell]
Zn 0.0000 0.4036 0.2500 [4 per cell]
Si 0.0000 0.4440 0.7500 [4 per cell]

Most intense lines, 10 to 80 degrees two-theta, sorted by position:
2θ/deg	I/Imax	hkl
23.07	25	0 2 2
33.46	100	1 3 2
33.63	20	0 6 0
34.79	90	1 5 0
37.36	67	1 1 3
38.04	17	0 4 3
39.53	25	0 6 2
41.42	50	2 0 0
46.01	20	0 6 3
49.44	17	1 3 4